# 1
Starting from a structure optimized by DFT (PBE), the X-ray diffraction stick pattern of Sr2PaH2O6 was computed for Cu Kα.
No peak broadening, texture or thermal motion is included.

Principal peaks in the range 2θ from 5° to 70°, by angle:
Position (°2θ)	intensity
19.93	100
28.66	61
32.88	72
33.60	61
39.38	19
44.74	37
47.72	24
57.10	19
59.63	24
60.36	25

Structural model:
Cell: 6.411 6.411 6.411 Å, 49.17 49.17 49.17°
Fractional coordinates of all 11 atoms:
Sr 0.216 0.216 0.216
Sr 0.784 0.784 0.784
Pa 0.000 0.000 0.000
H 0.417 0.417 0.417
H 0.583 0.583 0.583
O 0.259 0.259 0.731
O 0.259 0.731 0.259
O 0.269 0.741 0.741
O 0.731 0.259 0.259
O 0.741 0.269 0.741
O 0.741 0.741 0.269

=====

# 2
Starting from a structure optimized by DFT (PBE), the X-ray diffraction stick pattern of Tm2AgHPd6 was computed for Cu Kα.
No peak broadening, texture or thermal motion is included.

Principal peaks in the range 2θ from 5° to 70°, by angle:
Position (°2θ)	intensity
25.86	22
28.33	31
34.47	53
37.73	64
38.01	71
39.24	64
41.82	59
42.03	100
43.52	42
53.10	34

Structural model:
Cell: 5.541 5.541 6.911 Å, 110.63 110.63 62.06°
Fractional coordinates of all 10 atoms:
Tm 0.000 0.000 0.000
Tm 0.530 0.530 0.400
Ag 0.765 0.765 0.200
H 0.265 0.265 0.701
Pd 0.064 0.064 0.453
Pd 0.090 0.599 0.567
Pd 0.440 0.931 0.833
Pd 0.466 0.466 0.946
Pd 0.599 0.090 0.567
Pd 0.931 0.440 0.833

=====

# 3
Starting from a structure optimized by DFT (PBE), the X-ray diffraction stick pattern of Ac5HgTe8 was computed for Cu Kα.
No peak broadening, texture or thermal motion is included.

Principal peaks in the range 2θ from 5° to 70°, by angle:
Position (°2θ)	intensity
21.80	23
28.02	49
28.29	100
33.39	34
33.57	66
40.42	24
42.33	18
56.83	18
56.92	15
69.16	13

Structural model:
Cell: 8.666 8.666 8.666 Å, 109.77 109.77 108.87°
Fractional coordinates of all 14 atoms:
Ac 0.000 0.000 0.000
Ac 0.132 0.513 0.878
Ac 0.487 0.365 0.620
Ac 0.635 0.255 0.122
Ac 0.745 0.868 0.380
Hg 0.250 0.750 0.500
Te 0.018 0.258 0.401
Te 0.225 0.121 0.758
Te 0.363 0.467 0.242
Te 0.383 0.982 0.240
Te 0.533 0.775 0.896
Te 0.742 0.144 0.760
Te 0.856 0.617 0.599
Te 0.879 0.637 0.104

=====

# 4
Starting from a structure optimized by DFT (PBE), the X-ray diffraction stick pattern of Dy2AgHg3 was computed for Cu Kα.
No peak broadening, texture or thermal motion is included.

Principal peaks in the range 2θ from 5° to 70°, by angle:
Position (°2θ)	intensity
26.24	11
33.78	100
36.61	94
45.60	15
50.66	32
64.07	21
64.20	10
65.98	11
66.99	22
67.05	11

Structural model:
Cell: 9.825 9.168 5.963 Å, 77.82 65.80 36.39°
Fractional coordinates of all 12 atoms:
Dy 0.249 0.751 0.751
Dy 0.250 0.250 0.250
Dy 0.750 0.750 0.750
Dy 0.751 0.249 0.249
Ag 0.167 0.167 0.833
Ag 0.833 0.833 0.167
Hg 0.161 0.670 0.330
Hg 0.330 0.839 0.161
Hg 0.331 0.331 0.669
Hg 0.669 0.669 0.331
Hg 0.670 0.161 0.839
Hg 0.839 0.330 0.670

=====

Please write out number 1 again, unchanged.
Starting from a structure optimized by DFT (PBE), the X-ray diffraction stick pattern of Sr2PaH2O6 was computed for Cu Kα.
No peak broadening, texture or thermal motion is included.

Principal peaks in the range 2θ from 5° to 70°, by angle:
Position (°2θ)	intensity
19.93	100
28.66	61
32.88	72
33.60	61
39.38	19
44.74	37
47.72	24
57.10	19
59.63	24
60.36	25

Structural model:
Cell: 6.411 6.411 6.411 Å, 49.17 49.17 49.17°
Fractional coordinates of all 11 atoms:
Sr 0.216 0.216 0.216
Sr 0.784 0.784 0.784
Pa 0.000 0.000 0.000
H 0.417 0.417 0.417
H 0.583 0.583 0.583
O 0.259 0.259 0.731
O 0.259 0.731 0.259
O 0.269 0.741 0.741
O 0.731 0.259 0.259
O 0.741 0.269 0.741
O 0.741 0.741 0.269